The following is a calculated XRD peak list of MoP5O15. It was derived from a structure optimized by DFT (PBE+U), using Cu Kα (weighted mean of Kα1 and Kα2).
Peak positions follow from Bragg's law for the DFT cell and can differ from measured ones.

Peak list (10 most intense, 2θ from 10° to 90°, by angle)
- 11.84°, d 7.474, rel. 50, (0 1 1)
- 12.69°, d 6.973, rel. 60, (0 2 0)
- 16.18°, d 5.478, rel. 100, (0 2 1)
- 17.65°, d 5.026, rel. 71, (1 0 -1)
- 20.06°, d 4.426, rel. 86, (0 0 2)
- 21.36°, d 4.159, rel. 51, (1 2 0)
- 21.59°, d 4.116, rel. 45, (0 3 1)
- 21.80°, d 4.077, rel. 71, (1 2 -1)
- 25.35°, d 3.514, rel. 93, (1 2 1)
- 30.91°, d 2.893, rel. 49, (1 4 0)

Atomic structure:
Cell lengths 5.337, 13.946, 9.116 Å; angles 90.00, 103.82, 90.00 degrees
Space group P2_1/m (No. 11)
One atom of each set of equivalent atoms:
Mo: 0.000 0.000 0.000
P: 0.024 0.250 0.498
P: 0.158 0.076 0.685
P: 0.496 0.142 0.978
O: 0.009 0.532 0.215
O: 0.022 0.663 0.397
O: 0.171 0.750 0.652
O: 0.215 0.622 0.988
O: 0.276 0.015 0.591
O: 0.287 0.250 0.463
O: 0.344 0.080 0.062
O: 0.382 0.141 0.802
O: 0.462 0.250 0.027